No. 1
The following is a theoretical XRD peak list of Cs3PPb4. It was derived from a cell relaxed with PBE, using copper Kα.
Kinematic intensities with the Lorentz-polarization factor, no thermal factor.

Unit cell a=7.1756 b=14.2968 c=6.7570 alpha=90.00 beta=90.00 gamma=90.00
Element x y z (fractional)
Cs (0.2500, 0.0063, 0.1830)
Cs (0.2500, 0.4937, 0.1830)
Cs (0.2500, 0.7500, 0.5366)
Cs (0.7500, 0.2500, 0.4634)
Cs (0.7500, 0.5063, 0.8170)
Cs (0.7500, 0.9937, 0.8170)
P (0.2500, 0.2500, 0.3389)
P (0.7500, 0.7500, 0.6611)
Pb (0.0120, 0.2500, 0.9787)
Pb (0.2500, 0.1280, 0.6702)
Pb (0.2500, 0.3720, 0.6702)
Pb (0.4880, 0.2500, 0.9787)
Pb (0.5120, 0.7500, 0.0213)
Pb (0.7500, 0.6280, 0.3298)
Pb (0.7500, 0.8720, 0.3298)
Pb (0.9880, 0.7500, 0.0213)

Main lines, by angle (10 to 90 degrees two-theta):
- (2 0 1), 28.20 deg, I = 58
- (0 2 2), 29.23 deg, I = 56
- (2 2 1), 30.89 deg, I = 100
- (2 0 2), 36.56 deg, I = 32
- (2 6 1), 47.72 deg, I = 33
- (2 4 3), 54.53 deg, I = 32

No. 2
The following is a theoretical XRD peak list of CsPPbS4. It was derived from a cell relaxed with PBE, using copper Kα.
Kinematic intensities with the Lorentz-polarization factor, no thermal factor.

Unit cell a=18.1332 b=6.8691 c=6.7017 alpha=90.00 beta=90.00 gamma=90.00
Element x y z (fractional)
Cs (0.2125, 0.2500, 0.0089)
Cs (0.2875, 0.7500, 0.5089)
Cs (0.7125, 0.2500, 0.4911)
Cs (0.7875, 0.7500, 0.9911)
P (0.0883, 0.7500, 0.2225)
P (0.4117, 0.2500, 0.7225)
P (0.5883, 0.7500, 0.2775)
P (0.9117, 0.2500, 0.7775)
Pb (0.0197, 0.7500, 0.7202)
Pb (0.4803, 0.2500, 0.2202)
Pb (0.5197, 0.7500, 0.7798)
Pb (0.9803, 0.2500, 0.2798)
S (0.0214, 0.2500, 0.8560)
S (0.1094, 0.5100, 0.3980)
S (0.1094, 0.9900, 0.3980)
S (0.1551, 0.7500, 0.9756)
S (0.3449, 0.2500, 0.4756)
S (0.3906, 0.0100, 0.8980)
S (0.3906, 0.4900, 0.8980)
S (0.4786, 0.7500, 0.3560)
S (0.5214, 0.2500, 0.6440)
S (0.6094, 0.5100, 0.1020)
S (0.6094, 0.9900, 0.1020)
S (0.6551, 0.7500, 0.5244)
S (0.8449, 0.2500, 0.0244)
S (0.8906, 0.0100, 0.6020)
S (0.8906, 0.4900, 0.6020)
S (0.9786, 0.7500, 0.1440)

Main lines, by angle (10 to 90 degrees two-theta):
- (2 1 1), 20.95 deg, I = 78
- (0 2 0), 25.94 deg, I = 78
- (4 1 1), 27.06 deg, I = 64
- (2 0 2), 28.40 deg, I = 100
- (4 2 0), 32.71 deg, I = 59
- (2 2 2), 38.84 deg, I = 94